The following is a computed powder XRD pattern of TlTe4Pt2. It was derived from DFT lattice parameters and positions (GGA-PBE), using Cu Kα X-rays.

Largest 10 diffraction maxima, low angle first, 2θ = 10–90°:
d 3.769, 23.6°, I 100.0, hkl 1 0 1; d 2.342, 38.4°, I 51.2, hkl 1 0 4; d 2.301, 39.1°, I 77.1, hkl 1 1 0; d 2.002, 45.3°, I 17.8, hkl 1 0 5; d 1.964, 46.2°, I 17.1, hkl 0 2 1; d 1.802, 50.7°, I 23.4, hkl 1 1 4; d 1.642, 56.0°, I 17.3, hkl 0 2 4; d 1.632, 56.4°, I 19.6, hkl 1 1 5; d 1.336, 70.5°, I 17.4, hkl 2 1 4; d 1.225, 78.0°, I 21.8, hkl 1 0 9

Crystal structure
Cell: 4.603 4.603 11.579 Å, 90.00 90.00 120.00°
Element x y z (fractional)
Tl 0.000 0.000 0.000
Te 0.333 0.667 0.397
Te 0.333 0.667 0.855
Te 0.667 0.333 0.145
Te 0.667 0.333 0.603
Pt 0.333 0.667 0.628
Pt 0.667 0.333 0.372